(1)
BaMg14B: calculated powder X-ray diffraction pattern (Cu Kα (weighted mean of Kα1 and Kα2)), based on a DFT-relaxed cell (PBE, the Materials Project).
No peak broadening, texture or thermal motion is included.

Structural model:
```
data_BaMg14B
_chemical_formula_sum 'Ba2 Mg28 B2'
_cell_length_a 10.3331
_cell_length_b 6.2796
_cell_length_c 11.7883
_cell_angle_alpha 90.00
_cell_angle_beta 90.00
_cell_angle_gamma 90.00
_space_group_name_H-M_alt 'A m m 2'
_space_group_IT_number 38
loop_
_space_group_symop_operation_xyz
'x,y,z'
'-x,-y,z'
'-x,y,z'
'x,-y,z'
'x,y+1/2,z+1/2'
'-x,-y+1/2,z+1/2'
'-x,y+1/2,z+1/2'
'x,-y+1/2,z+1/2'
loop_
_atom_site_label
_atom_site_type_symbol
_atom_site_fract_x
_atom_site_fract_y
_atom_site_fract_z
Ba1 Ba 0.0000 0.0000 0.0000
Mg1 Mg 0.0000 0.2375 0.2568
Mg2 Mg 0.2137 0.0000 0.6253
Mg3 Mg 0.2566 0.2408 0.3867
Mg4 Mg 0.2717 0.0000 0.1472
Mg5 Mg 0.5000 0.0000 0.4797
Mg6 Mg 0.5000 0.0000 0.9739
Mg7 Mg 0.5000 0.2438 0.7284
B1 B 0.0000 0.0000 0.4184
```

Largest 8 diffraction maxima, in order of rising 2θ, 10 to 80 degrees two-theta:
hkl 0 1 1, 15.99 deg, rel. 33
hkl 1 1 1, 18.16 deg, rel. 48
hkl 2 1 1, 23.54 deg, rel. 36
hkl 3 1 1, 30.56 deg, rel. 31
hkl 0 2 2, 32.31 deg, rel. 45
hkl 4 0 0, 34.73 deg, rel. 44
hkl 2 0 4, 35.05 deg, rel. 78
hkl 2 2 2, 36.80 deg, rel. 100

=====

(2)
NaYB4H16: calculated powder X-ray diffraction pattern (Cu Kα (weighted mean of Kα1 and Kα2)), based on a DFT-relaxed cell (PBE, the Materials Project).
No peak broadening, texture or thermal motion is included.

Structural model:
```
data_NaYB4H16
_chemical_formula_sum 'Na4 Y4 B16 H64'
_cell_length_a 8.6690
_cell_length_b 12.3663
_cell_length_c 9.2627
_cell_angle_alpha 90.00
_cell_angle_beta 90.00
_cell_angle_gamma 90.00
_space_group_name_H-M_alt 'C m c m'
_space_group_IT_number 63
_space_group_name_Hall '-C 2c 2'
loop_
_atom_site_label
_atom_site_type_symbol
_atom_site_fract_x
_atom_site_fract_y
_atom_site_fract_z
Na1 Na 0.0000 0.0000 0.0000
Y1 Y 0.0000 0.3544 0.2500
B1 B 0.0000 0.2398 0.0319
B2 B 0.2409 0.4641 0.2500
H1 H 0.0000 0.1851 0.5751
H2 H 0.0000 0.3369 0.5012
H3 H 0.1157 0.2242 0.1083
H4 H 0.1413 0.0164 0.2500
H5 H 0.1617 0.4853 0.1422
H6 H 0.2327 0.1338 0.7500
```

Largest 8 diffraction maxima, in order of rising 2θ, 10 to 80 degrees two-theta:
hkl 1 1 1, 15.73 deg, rel. 100
hkl 0 2 1, 17.24 deg, rel. 66
hkl 2 0 0, 20.49 deg, rel. 29
hkl 1 1 2, 22.93 deg, rel. 42
hkl 1 3 0, 23.90 deg, rel. 29
hkl 2 2 1, 26.90 deg, rel. 26
hkl 2 4 2, 40.80 deg, rel. 21
hkl 1 3 4, 46.18 deg, rel. 14

=====

(3)
LuCuSi: calculated powder X-ray diffraction pattern (Cu Kα (weighted mean of Kα1 and Kα2)), based on a DFT-relaxed cell (PBE, the Materials Project).
No peak broadening, texture or thermal motion is included.

Structural model:
```
data_LuCuSi
_chemical_formula_sum 'Lu2 Cu2 Si2'
_cell_length_a 4.1078
_cell_length_b 4.1078
_cell_length_c 7.2173
_cell_angle_alpha 90.00
_cell_angle_beta 90.00
_cell_angle_gamma 120.00
_space_group_name_H-M_alt 'P 63/m m c'
_space_group_IT_number 194
_space_group_name_Hall '-P 6c 2c'
loop_
_atom_site_label
_atom_site_type_symbol
_atom_site_fract_x
_atom_site_fract_y
_atom_site_fract_z
Lu1 Lu 0.0000 0.0000 0.0000
Cu1 Cu 0.3333 0.6667 0.2500
Si1 Si 0.3333 0.6667 0.7500
```

Largest 8 diffraction maxima, in order of rising 2θ, 10 to 80 degrees two-theta:
hkl 1 0 0, 25.03 deg, rel. 37
hkl 1 0 2, 35.43 deg, rel. 100
hkl 1 1 0, 44.09 deg, rel. 40
hkl 0 0 4, 50.59 deg, rel. 9
hkl 1 0 4, 57.25 deg, rel. 8
hkl 2 0 2, 57.79 deg, rel. 24
hkl 1 1 4, 69.32 deg, rel. 20
hkl 2 1 2, 75.45 deg, rel. 22

=====

(4)
AsCSF11: calculated powder X-ray diffraction pattern (Cu Kα (weighted mean of Kα1 and Kα2)), based on a DFT-relaxed cell (PBE, the Materials Project).
No peak broadening, texture or thermal motion is included.

Structural model:
```
data_AsCSF11
_chemical_formula_sum 'As4 C4 S4 F44'
_cell_length_a 6.3780
_cell_length_b 11.3728
_cell_length_c 11.9178
_cell_angle_alpha 90.00
_cell_angle_beta 100.59
_cell_angle_gamma 90.00
_space_group_name_H-M_alt 'P 1 21/c 1'
_space_group_IT_number 14
loop_
_space_group_symop_operation_xyz
'x,y,z'
'-x,-y,-z'
'-x,y+1/2,-z+1/2'
'x,-y+1/2,z+1/2'
loop_
_atom_site_label
_atom_site_type_symbol
_atom_site_fract_x
_atom_site_fract_y
_atom_site_fract_z
As1 As 0.1631 0.0161 0.2816
C1 C 0.4883 0.7094 0.4843
S1 S 0.3077 0.6732 0.0472
F1 F 0.0031 0.0498 0.8341
F2 F 0.0499 0.5271 0.1416
F3 F 0.0938 0.7435 0.0157
F4 F 0.1131 0.1584 0.2275
F5 F 0.2192 0.6281 0.8475
F6 F 0.3387 0.0756 0.4066
F7 F 0.3571 0.6307 0.4262
F8 F 0.3669 0.7175 0.1738
F9 F 0.3842 0.1599 0.9278
F10 F 0.3863 0.5007 0.7158
F11 F 0.4005 0.2338 0.5826
```

Largest 8 diffraction maxima, in order of rising 2θ, 10 to 80 degrees two-theta:
hkl 1 1 -1, 16.69 deg, rel. 42
hkl 1 0 -2, 18.74 deg, rel. 42
hkl 1 1 1, 18.92 deg, rel. 71
hkl 1 2 0, 21.09 deg, rel. 38
hkl 0 2 2, 21.78 deg, rel. 100
hkl 1 2 -2, 24.46 deg, rel. 23
hkl 2 1 -1, 29.21 deg, rel. 38
hkl 1 1 3, 30.14 deg, rel. 25